(1)
For Nd4SmCo, a DFT-relaxed cell (PBE, Alexandria) gives the calculated XRD peak list in this record (Cu Ka).
Peak positions follow from Bragg's law for the DFT cell and can differ from measured ones.

Peak list (12 most intense, 15 to 90 degrees two-theta, low angle first)
2theta, Rel. int., hkl
26.4, 21.6, 2 2 0
29.5, 40.6, 2 0 -2
30.3, 60.7, 4 0 1
32.6, 100.0, 2 2 1
40.0, 26.4, 4 2 -2
49.4, 12.6, 0 4 0
49.8, 14.7, 8 2 0
52.8, 17.0, 8 0 -3
54.3, 21.4, 0 2 3
58.9, 24.5, 6 2 2
59.1, 17.8, 4 4 1
75.2, 11.7, 8 4 -3

Structure:
```
data_Nd4SmCo
_space_group_name_H-M_alt 'C 1 2/m 1'
_space_group_IT_number 12
_cell_length_a 17.9376
_cell_length_b 7.3793
_cell_length_c 6.0547
_cell_angle_alpha 90.00
_cell_angle_beta 109.70
_cell_angle_gamma 90.00
loop_
_space_group_symop_operation_xyz
'x,y,z'
'-x,-y,-z'
'-x,y,-z'
'x,-y,z'
'x+1/2,y+1/2,z'
'-x+1/2,-y+1/2,-z'
'-x+1/2,y+1/2,-z'
'x+1/2,-y+1/2,z'
loop_
_atom_site_label
_atom_site_type_symbol
_atom_site_fract_x
_atom_site_fract_y
_atom_site_fract_z
_atom_site_occupancy
Nd1 Nd 0.0000 0.2354 0.0000 1
Nd2 Nd 0.1182 0.2485 0.6188 1
Nd3 Nd 0.1746 0.5000 0.1742 1
Sm1 Sm 0.1973 0.0000 0.1984 1
Co1 Co 0.0006 0.5000 0.6858 1
```



(2)
For Cd2Ag2HgAu2, a DFT-relaxed cell (PBE, Alexandria) gives the calculated XRD peak list in this record (Cu Ka).
Peak positions follow from Bragg's law for the DFT cell and can differ from measured ones.

Peak list (12 most intense, 15 to 90 degrees two-theta, low angle first)
2theta, Rel. int., hkl
23.2, 82.4, 1 0 1
26.7, 53.0, 0 0 3
34.5, 16.5, 0 1 3
37.6, 100.0, 1 1 0
42.2, 51.8, 1 0 4
44.7, 15.3, 0 2 1
46.7, 70.5, 1 1 3
57.8, 20.3, 0 2 4
59.8, 16.8, 2 1 1
67.9, 17.4, 3 0 0
71.0, 22.0, 2 1 4
74.4, 17.8, 3 0 3

Structure:
```
data_Cd2Ag2HgAu2
_space_group_name_H-M_alt 'P -3 m 1'
_space_group_IT_number 164
_space_group_name_Hall '-P 3 2"'
_cell_length_a 4.7824
_cell_length_b 4.7824
_cell_length_c 10.0162
_cell_angle_alpha 90.00
_cell_angle_beta 90.00
_cell_angle_gamma 120.00
loop_
_atom_site_label
_atom_site_type_symbol
_atom_site_fract_x
_atom_site_fract_y
_atom_site_fract_z
_atom_site_occupancy
Cd1 Cd 0.0000 0.0000 0.2080 1
Ag1 Ag 0.3333 0.6667 0.8935 1
Hg1 Hg 0.0000 0.0000 0.5000 1
Au1 Au 0.3333 0.6667 0.1764 1
```



(3)
For Pm2Ho5Tm5, a DFT-relaxed cell (PBE, Alexandria) gives the calculated XRD peak list in this record (Cu Ka).
Peak positions follow from Bragg's law for the DFT cell and can differ from measured ones.

Peak list (9 most intense, 15 to 90 degrees two-theta, low angle first)
2theta, Rel. int., hkl
31.0, 100.0, 3 1 1
36.0, 50.6, 0 2 0
51.8, 36.0, 6 0 2
61.6, 42.7, 3 3 1
64.7, 12.3, 6 2 2
76.3, 5.7, 0 4 0
84.7, 17.9, 3 3 5
87.4, 11.2, 6 0 6
87.4, 5.6, 0 4 4

Structure:
```
data_Pm2Ho5Tm5
_space_group_name_H-M_alt 'C 1 2/m 1'
_space_group_IT_number 12
_cell_length_a 14.9758
_cell_length_b 4.9872
_cell_length_c 11.1599
_cell_angle_alpha 90.00
_cell_angle_beta 116.53
_cell_angle_gamma 90.00
loop_
_space_group_symop_operation_xyz
'x,y,z'
'-x,-y,-z'
'-x,y,-z'
'x,-y,z'
'x+1/2,y+1/2,z'
'-x+1/2,-y+1/2,-z'
'-x+1/2,y+1/2,-z'
'x+1/2,-y+1/2,z'
loop_
_atom_site_label
_atom_site_type_symbol
_atom_site_fract_x
_atom_site_fract_y
_atom_site_fract_z
_atom_site_occupancy
Pm1 Pm 0.0830 0.0000 0.2488 1
Ho1 Ho 0.0000 0.5000 0.0000 1
Ho2 Ho 0.0846 0.5000 0.7504 1
Ho3 Ho 0.1662 0.5000 0.4999 1
Tm1 Tm 0.0000 0.0000 0.5000 1
Tm2 Tm 0.1678 0.0000 0.0001 1
Tm3 Tm 0.2489 0.0000 0.7499 1
```



(4)
For RbSb6S12, a DFT-relaxed cell (PBE, Alexandria) gives the calculated XRD peak list in this record (Cu Ka).
Peak positions follow from Bragg's law for the DFT cell and can differ from measured ones.

Peak list (12 most intense, 15 to 90 degrees two-theta, low angle first)
2theta, Rel. int., hkl
23.1, 100.0, 2 1 1
24.1, 34.7, 2 0 2
28.0, 54.0, 2 2 0
36.6, 94.4, 0 3 3
37.3, 18.3, 1 0 4
39.9, 38.1, 0 2 4
41.9, 26.0, 0 5 1
42.5, 28.9, 3 3 0
44.9, 33.0, 5 0 2
46.7, 24.4, 0 1 5
59.3, 29.6, 2 3 5
61.6, 16.8, 3 0 6

Structure:
```
data_RbSb6S12
_space_group_name_H-M_alt 'R -3 m'
_space_group_IT_number 166
_space_group_name_Hall '-R 3 2"'
_cell_length_a 12.7581
_cell_length_b 12.7581
_cell_length_c 9.8961
_cell_angle_alpha 90.00
_cell_angle_beta 90.00
_cell_angle_gamma 120.00
loop_
_atom_site_label
_atom_site_type_symbol
_atom_site_fract_x
_atom_site_fract_y
_atom_site_fract_z
_atom_site_occupancy
Rb1 Rb 0.0000 0.0000 0.0000 1
Sb1 Sb 0.0695 0.5348 0.2735 1
S1 S 0.0000 0.3778 0.5000 1
S2 S 0.0927 0.1854 0.3429 1
```



What did the first record say?
For Nd4SmCo, a DFT-relaxed cell (PBE, Alexandria) gives the calculated XRD peak list in this record (Cu Ka).
Peak positions follow from Bragg's law for the DFT cell and can differ from measured ones.

Peak list (12 most intense, 15 to 90 degrees two-theta, low angle first)
2theta, Rel. int., hkl
26.4, 21.6, 2 2 0
29.5, 40.6, 2 0 -2
30.3, 60.7, 4 0 1
32.6, 100.0, 2 2 1
40.0, 26.4, 4 2 -2
49.4, 12.6, 0 4 0
49.8, 14.7, 8 2 0
52.8, 17.0, 8 0 -3
54.3, 21.4, 0 2 3
58.9, 24.5, 6 2 2
59.1, 17.8, 4 4 1
75.2, 11.7, 8 4 -3

Structure:
```
data_Nd4SmCo
_space_group_name_H-M_alt 'C 1 2/m 1'
_space_group_IT_number 12
_cell_length_a 17.9376
_cell_length_b 7.3793
_cell_length_c 6.0547
_cell_angle_alpha 90.00
_cell_angle_beta 109.70
_cell_angle_gamma 90.00
loop_
_space_group_symop_operation_xyz
'x,y,z'
'-x,-y,-z'
'-x,y,-z'
'x,-y,z'
'x+1/2,y+1/2,z'
'-x+1/2,-y+1/2,-z'
'-x+1/2,y+1/2,-z'
'x+1/2,-y+1/2,z'
loop_
_atom_site_label
_atom_site_type_symbol
_atom_site_fract_x
_atom_site_fract_y
_atom_site_fract_z
_atom_site_occupancy
Nd1 Nd 0.0000 0.2354 0.0000 1
Nd2 Nd 0.1182 0.2485 0.6188 1
Nd3 Nd 0.1746 0.5000 0.1742 1
Sm1 Sm 0.1973 0.0000 0.1984 1
Co1 Co 0.0006 0.5000 0.6858 1
```



What did the fourth record say?
For RbSb6S12, a DFT-relaxed cell (PBE, Alexandria) gives the calculated XRD peak list in this record (Cu Ka).
Peak positions follow from Bragg's law for the DFT cell and can differ from measured ones.

Peak list (12 most intense, 15 to 90 degrees two-theta, low angle first)
2theta, Rel. int., hkl
23.1, 100.0, 2 1 1
24.1, 34.7, 2 0 2
28.0, 54.0, 2 2 0
36.6, 94.4, 0 3 3
37.3, 18.3, 1 0 4
39.9, 38.1, 0 2 4
41.9, 26.0, 0 5 1
42.5, 28.9, 3 3 0
44.9, 33.0, 5 0 2
46.7, 24.4, 0 1 5
59.3, 29.6, 2 3 5
61.6, 16.8, 3 0 6

Structure:
```
data_RbSb6S12
_space_group_name_H-M_alt 'R -3 m'
_space_group_IT_number 166
_space_group_name_Hall '-R 3 2"'
_cell_length_a 12.7581
_cell_length_b 12.7581
_cell_length_c 9.8961
_cell_angle_alpha 90.00
_cell_angle_beta 90.00
_cell_angle_gamma 120.00
loop_
_atom_site_label
_atom_site_type_symbol
_atom_site_fract_x
_atom_site_fract_y
_atom_site_fract_z
_atom_site_occupancy
Rb1 Rb 0.0000 0.0000 0.0000 1
Sb1 Sb 0.0695 0.5348 0.2735 1
S1 S 0.0000 0.3778 0.5000 1
S2 S 0.0927 0.1854 0.3429 1
```



Copy entry 1 word for word.
For Nd4SmCo, a DFT-relaxed cell (PBE, Alexandria) gives the calculated XRD peak list in this record (Cu Ka).
Peak positions follow from Bragg's law for the DFT cell and can differ from measured ones.

Peak list (12 most intense, 15 to 90 degrees two-theta, low angle first)
2theta, Rel. int., hkl
26.4, 21.6, 2 2 0
29.5, 40.6, 2 0 -2
30.3, 60.7, 4 0 1
32.6, 100.0, 2 2 1
40.0, 26.4, 4 2 -2
49.4, 12.6, 0 4 0
49.8, 14.7, 8 2 0
52.8, 17.0, 8 0 -3
54.3, 21.4, 0 2 3
58.9, 24.5, 6 2 2
59.1, 17.8, 4 4 1
75.2, 11.7, 8 4 -3

Structure:
```
data_Nd4SmCo
_space_group_name_H-M_alt 'C 1 2/m 1'
_space_group_IT_number 12
_cell_length_a 17.9376
_cell_length_b 7.3793
_cell_length_c 6.0547
_cell_angle_alpha 90.00
_cell_angle_beta 109.70
_cell_angle_gamma 90.00
loop_
_space_group_symop_operation_xyz
'x,y,z'
'-x,-y,-z'
'-x,y,-z'
'x,-y,z'
'x+1/2,y+1/2,z'
'-x+1/2,-y+1/2,-z'
'-x+1/2,y+1/2,-z'
'x+1/2,-y+1/2,z'
loop_
_atom_site_label
_atom_site_type_symbol
_atom_site_fract_x
_atom_site_fract_y
_atom_site_fract_z
_atom_site_occupancy
Nd1 Nd 0.0000 0.2354 0.0000 1
Nd2 Nd 0.1182 0.2485 0.6188 1
Nd3 Nd 0.1746 0.5000 0.1742 1
Sm1 Sm 0.1973 0.0000 0.1984 1
Co1 Co 0.0006 0.5000 0.6858 1
```